# Er4TlTe3
Calculated PXRD pattern, Cu Kα X-rays. Input: a cell relaxed with GGA-PBE.

The 6 most intense peaks (2θ from 5° to 70°), low angle first:
h k l, Position (°2θ), intensity
2 0 1, 29.04, 1000
4 0 0, 41.22, 128
2 4 1, 41.53, 504
4 4 0, 51.20, 136
0 4 2, 51.75, 134
4 4 2, 68.18, 227

Structure:
```
data_Er4TlTe3
_cell_length_a 8.7604
_cell_length_b 12.3080
_cell_length_c 4.3145
_cell_angle_alpha 90.00
_cell_angle_beta 90.00
_cell_angle_gamma 90.00
_space_group_name_H-M_alt 'C m m m'
_space_group_IT_number 65
_space_group_name_Hall '-C 2 2'
loop_
_atom_site_label
_atom_site_fract_x
_atom_site_fract_y
_atom_site_fract_z
Er1 0.0000 0.2418 0.0000
Er2 0.2388 0.0000 0.5000
Tl1 0.0000 0.0000 0.0000
Te1 0.0000 0.5000 0.0000
Te2 0.2500 0.2500 0.5000
```